Diffraction record for LiInHgBi. The XRD peak list is calculated, not measured: it uses the PBE geometry in Alexandria and Cu Kα (λ = 1.5418 Å).

Structural model:
a = 9.091 Å, b = 9.091 Å, c = 3.353 Å
α = 90.06°, β = 90.06°, γ = 21.20°
Fractional coordinates of all 4 atoms:
Li 0.000 0.000 0.000
In 0.778 0.778 0.999
Hg 0.405 0.405 0.500
Bi 0.616 0.616 0.501

Principal peaks in the range 2θ from 10° to 90°, most intense first:
| 2θ (°) | intensity |
| --- | --- |
| 33.4 | 100 |
| 27.1 | 81 |
| 36.8 | 80 |
| 38.3 | 80 |
| 19.9 | 50 |
| 46.0 | 46 |